Diffraction record for La2CoNO3. The powder diffractogram is simulated, not measured: it uses a PBE+U-relaxed structure and Cu Kα.
Intensities are scaled so that the largest is 100.

Cell and atoms:
```
data_La2CoNO3
_cell_length_a 12.823
_cell_length_b 5.391
_cell_length_c 5.329
_cell_angle_alpha 90.00
_cell_angle_beta 90.00
_cell_angle_gamma 90.00
_symmetry_space_group_name_H-M 'C m c m'
_symmetry_Int_Tables_number 63
_symmetry_space_group_name_Hall '-C 2c 2'
loop_
_atom_site_label
_atom_site_type_symbol
_atom_site_fract_x
_atom_site_fract_y
_atom_site_fract_z
La1 La 0.139 0.246 0.250
Co1 Co 0.000 0.263 0.750
N1 N 0.000 0.500 0.000
O1 O 0.000 0.000 0.000
O2 O 0.179 0.236 0.750
```

Most intense lines, 15° ≤ 2θ ≤ 90°, in order of rising 2θ:
2θ (°)  intensity  hkl
24.5  26  1 1 1
31.5  100  3 1 1
33.2  35  0 2 0
33.6  34  0 0 2
42.6  20  5 1 1
43.9  15  4 2 0
44.2  15  4 0 2
48.0  33  0 2 2
58.3  18  3 3 1
58.8  17  3 1 3